Starting from a structure optimized by DFT (GGA-PBE), the powder X-ray diffraction pattern of PrEr5Ru6 was calculated for Cu Kα X-rays.
Kinematic intensities with the Lorentz-polarization factor, no thermal factor.

Peak list (10 most intense, 2θ = 10–80°, most intense first)
two_theta  I_rel
37.45  100
67.52  23
67.64  12
54.04  11
79.85  9
26.24  6
53.90  6
46.30  2
61.02  1
60.92  1

Atomic structure:
Cell: 8.3106 8.3106 8.3106 Å, 146.40 131.67 60.14°
Atoms (fractional coordinates):
1 Pr 0.0000 0.0000 0.0000
2 Er 0.1697 0.6697 0.5000
3 Er 0.3335 0.3335 0.0000
4 Er 0.5000 0.0000 0.5000
5 Er 0.6665 0.6665 0.0000
6 Er 0.8303 0.3303 0.5000
7 Ru 0.0837 0.8316 0.2521
8 Ru 0.2546 0.5000 0.7546
9 Ru 0.4205 0.1684 0.2521
10 Ru 0.5795 0.8316 0.7479
11 Ru 0.7454 0.5000 0.2454
12 Ru 0.9163 0.1684 0.7479